Diffraction record for Ga2Te2Cl7. The powder diffractogram is calculated, not measured: it uses DFT lattice parameters and positions (PBE) and Cu Kα, 1.54184 Å.
Kinematic intensities with the Lorentz-polarization factor, no thermal factor.

Cell and atoms:
Cell: 9.627 11.412 13.781 Å, 90.00 94.32 90.00°
Space group P2_1/c (No. 14)
Asymmetric unit:
Ga  0.122  0.180  0.205 (multiplicity 4)
Ga  0.260  0.582  0.342 (multiplicity 4)
Te  0.325  0.565  0.950 (multiplicity 4)
Te  0.434  0.155  0.465 (multiplicity 4)
Cl  0.027  0.528  0.353 (multiplicity 4)
Cl  0.043  0.163  0.632 (multiplicity 4)
Cl  0.112  0.169  0.364 (multiplicity 4)
Cl  0.271  0.722  0.237 (multiplicity 4)
Cl  0.318  0.646  0.491 (multiplicity 4)
Cl  0.324  0.123  0.163 (multiplicity 4)
Cl  0.364  0.078  0.806 (multiplicity 4)

Main lines, low angle first (10 to 90 degrees two-theta):
2theta, d (Å), Rel. int.
10.08, 8.779, 34
13.34, 6.640, 19
13.99, 6.329, 22
15.28, 5.798, 100
16.82, 5.270, 27
20.90, 4.251, 55
22.27, 3.991, 24
26.90, 3.315, 25
28.99, 3.080, 48
30.99, 2.886, 20
32.08, 2.790, 21
32.17, 2.783, 18

=====

Diffraction record for TlGaCl4. The powder diffractogram is calculated, not measured: it uses DFT lattice parameters and positions (PBE) and Cu Kα, 1.54184 Å.
Kinematic intensities with the Lorentz-polarization factor, no thermal factor.

Cell and atoms:
Cell: 11.017 7.246 9.645 Å, 90.00 90.00 90.00°
Space group Pnma (No. 62)
Asymmetric unit:
Tl  0.188  0.250  0.191 (multiplicity 4)
Ga  0.065  0.250  0.686 (multiplicity 4)
Cl  0.074  0.003  0.821 (multiplicity 8)
Cl  0.107  0.750  0.428 (multiplicity 4)
Cl  0.224  0.250  0.548 (multiplicity 4)

Main lines, low angle first (10 to 90 degrees two-theta):
2theta, d (Å), Rel. int.
15.29, 5.793, 29
18.40, 4.822, 48
20.10, 4.418, 31
20.25, 4.385, 60
22.27, 3.992, 100
23.59, 3.772, 46
24.57, 3.623, 50
27.50, 3.244, 54
30.94, 2.890, 38
31.51, 2.839, 34
31.95, 2.801, 41
33.85, 2.648, 53

=====

Diffraction record for GdH12Cl3O6. The powder diffractogram is calculated, not measured: it uses DFT lattice parameters and positions (PBE) and Cu Kα, 1.54184 Å.
Kinematic intensities with the Lorentz-polarization factor, no thermal factor.

Cell and atoms:
Cell: 7.920 6.599 12.181 Å, 90.00 127.45 90.00°
Space group P2/c (No. 13)
Asymmetric unit:
Gd  0.000  0.153  0.250 (multiplicity 2)
H  0.032  0.448  0.885 (multiplicity 4)
H  0.200  0.475  0.182 (multiplicity 4)
H  0.240  0.095  0.130 (multiplicity 4)
H  0.323  0.085  0.735 (multiplicity 4)
H  0.371  0.329  0.533 (multiplicity 4)
H  0.473  0.248  0.465 (multiplicity 4)
Cl  0.201  0.168  0.943 (multiplicity 4)
Cl  0.500  0.366  0.750 (multiplicity 2)
O  0.056  0.428  0.146 (multiplicity 4)
O  0.258  0.051  0.214 (multiplicity 4)
O  0.336  0.294  0.443 (multiplicity 4)

Main lines, low angle first (10 to 90 degrees two-theta):
2theta, d (Å), Rel. int.
13.42, 6.599, 40
14.09, 6.288, 100
14.84, 5.969, 99
16.26, 5.451, 79
17.50, 5.067, 76
18.35, 4.836, 55
20.06, 4.427, 42
22.48, 3.954, 65
25.02, 3.559, 84
25.90, 3.440, 73
30.92, 2.892, 40
39.07, 2.306, 51

=====

Diffraction record for K2GdCl5. The powder diffractogram is calculated, not measured: it uses DFT lattice parameters and positions (PBE) and Cu Kα, 1.54184 Å.
Kinematic intensities with the Lorentz-polarization factor, no thermal factor.

Cell and atoms:
Cell: 13.074 8.687 8.123 Å, 90.00 90.00 90.00°
Space group Pnma (No. 62)
Asymmetric unit:
K  0.172  0.005  0.051 (multiplicity 8)
Gd  0.004  0.250  0.573 (multiplicity 4)
Cl  0.010  0.250  0.911 (multiplicity 4)
Cl  0.074  0.541  0.659 (multiplicity 8)
Cl  0.173  0.250  0.381 (multiplicity 4)
Cl  0.197  0.750  0.341 (multiplicity 4)

Main lines, low angle first (10 to 90 degrees two-theta):
2theta, d (Å), Rel. int.
12.83, 6.900, 100
13.55, 6.537, 55
14.93, 5.933, 28
23.16, 3.840, 37
24.21, 3.676, 52
24.61, 3.618, 32
30.91, 2.893, 28
33.16, 2.701, 39
34.34, 2.612, 33
37.41, 2.404, 38
41.60, 2.171, 28
41.83, 2.160, 33

=====

Diffraction record for KGd2Cl7. The powder diffractogram is calculated, not measured: it uses DFT lattice parameters and positions (PBE) and Cu Kα, 1.54184 Å.
Kinematic intensities with the Lorentz-polarization factor, no thermal factor.

Cell and atoms:
Cell: 7.030 12.820 13.387 Å, 90.00 90.69 90.00°
Space group P2_1/c (No. 14)
Asymmetric unit:
K  0.234  0.202  0.462 (multiplicity 4)
Gd  0.225  0.660  0.752 (multiplicity 4)
Gd  0.279  0.537  0.263 (multiplicity 4)
Cl  0.016  0.678  0.327 (multiplicity 4)
Cl  0.038  0.059  0.630 (multiplicity 4)
Cl  0.046  0.088  0.878 (multiplicity 4)
Cl  0.243  0.685  0.108 (multiplicity 4)
Cl  0.443  0.526  0.866 (multiplicity 4)
Cl  0.474  0.575  0.620 (multiplicity 4)
Cl  0.497  0.703  0.324 (multiplicity 4)

Main lines, low angle first (10 to 90 degrees two-theta):
2theta, d (Å), Rel. int.
13.23, 6.693, 100
14.37, 6.164, 45
19.47, 4.558, 34
19.68, 4.510, 33
25.28, 3.523, 55
31.56, 2.835, 22
31.78, 2.816, 26
34.45, 2.603, 29
36.86, 2.438, 18
38.55, 2.335, 18
38.66, 2.329, 17
44.07, 2.055, 14

=====

Diffraction record for K3GdCl6. The powder diffractogram is calculated, not measured: it uses DFT lattice parameters and positions (PBE) and Cu Kα, 1.54184 Å.
Kinematic intensities with the Lorentz-polarization factor, no thermal factor.

Cell and atoms:
Cell: 13.273 7.854 12.735 Å, 90.00 108.57 90.00°
Space group P2_1/c (No. 14)
Asymmetric unit:
K  0.099  0.033  0.359 (multiplicity 4)
K  0.315  0.564  0.266 (multiplicity 4)
K  0.320  0.066  0.113 (multiplicity 4)
Gd  0.000  0.000  0.000 (multiplicity 2)
Gd  0.500  0.000  0.500 (multiplicity 2)
Cl  0.104  0.211  0.596 (multiplicity 4)
Cl  0.119  0.000  0.869 (multiplicity 4)
Cl  0.141  0.680  0.658 (multiplicity 4)
Cl  0.343  0.710  0.004 (multiplicity 4)
Cl  0.345  0.216  0.392 (multiplicity 4)
Cl  0.500  0.145  0.693 (multiplicity 4)

Main lines, low angle first (10 to 90 degrees two-theta):
2theta, d (Å), Rel. int.
14.06, 6.297, 100
14.68, 6.036, 22
16.24, 5.457, 57
23.08, 3.853, 35
23.82, 3.735, 44
27.11, 3.289, 20
30.41, 2.939, 24
32.83, 2.728, 51
33.99, 2.637, 21
35.91, 2.501, 23
43.09, 2.099, 27
48.77, 1.867, 21